No. 1
Diffraction record for SrLa2S4. The XRD peak list is theoretical, not measured: it uses a structure optimized by DFT (PBE) and CuKα.
No peak broadening, texture or thermal motion is included.

Top 8 peaks for 2θ = 15–90°, in order of rising 2θ:
d [Å], 2theta, I (rel.)
3.723, 23.90, 53
3.534, 25.20, 100
3.491, 25.52, 97
3.464, 25.72, 52
2.843, 31.47, 41
2.536, 35.40, 61
2.434, 36.92, 50
2.134, 42.36, 41

Cell and atoms:
```
SrLa2S4
1.0
11.8566 0.0000 0.0000
0.0000 4.2676 0.0000
0.0000 0.0000 14.8936
Sr La S
4 8 16
direct
0.2366 0.2500 0.1573
0.2634 0.7500 0.6573
0.7366 0.2500 0.3427
0.7634 0.7500 0.8427
0.0622 0.7500 0.3896
0.1045 0.7500 0.8980
0.3955 0.2500 0.3980
0.4378 0.2500 0.8896
0.5622 0.7500 0.1104
0.6045 0.7500 0.6020
0.8955 0.2500 0.1020
0.9378 0.2500 0.6104
0.0085 0.7500 0.7164
0.0639 0.7500 0.0876
0.1545 0.2500 0.5101
0.2266 0.2500 0.8054
0.2734 0.7500 0.3054
0.3455 0.7500 0.0101
0.4361 0.2500 0.5876
0.4915 0.2500 0.2164
0.5085 0.7500 0.7836
0.5639 0.7500 0.4124
0.6545 0.2500 0.9899
0.7266 0.2500 0.6946
0.7734 0.7500 0.1946
0.8455 0.7500 0.4899
0.9361 0.2500 0.9124
0.9915 0.2500 0.2836
```

No. 2
Diffraction record for Pr6IrRh2I3. The XRD peak list is theoretical, not measured: it uses a structure optimized by DFT (PBE) and CuKα.
No peak broadening, texture or thermal motion is included.

Top 8 peaks for 2θ = 15–90°, in order of rising 2θ:
d [Å], 2theta, I (rel.)
3.143, 28.40, 100
2.935, 30.45, 10
2.535, 35.41, 13
2.354, 38.23, 28
2.111, 42.85, 38
1.752, 52.20, 18
1.348, 69.76, 16
1.148, 84.38, 8

Cell and atoms:
```
Pr6IrRh2I3
1.0
3.6555 -6.3319 0.0000
3.6555 6.3319 0.0000
-2.4364 0.0000 8.2076
Pr Ir Rh I
6 1 2 3
direct
0.0617 0.3941 0.1852
0.2705 0.2705 0.8147
0.3941 0.0617 0.1852
0.6059 0.9383 0.8148
0.7295 0.7295 0.1853
0.9383 0.6059 0.8148
0.0000 0.0000 0.0000
0.3334 0.6666 0.0000
0.6666 0.3334 0.0000
0.1665 0.8335 0.5000
0.5000 0.5000 0.5000
0.8335 0.1665 0.5000
```

No. 3
Diffraction record for Cr5Rh4. The XRD peak list is theoretical, not measured: it uses a structure optimized by DFT (PBE) and CuKα.
No peak broadening, texture or thermal motion is included.

Top 8 peaks for 2θ = 15–90°, in order of rising 2θ:
d [Å], 2theta, I (rel.)
2.996, 29.82, 21
2.137, 42.30, 90
2.101, 43.05, 100
1.644, 55.93, 13
1.498, 61.94, 27
1.220, 78.40, 26
1.213, 78.92, 15
1.118, 87.23, 24

Cell and atoms:
```
Cr5Rh4
1.0
7.2782 0.0000 0.0000
-3.6391 6.3031 0.0000
0.0000 0.0000 5.2794
Cr Rh
10 8
direct
0.0000 0.3356 0.2500
0.0000 0.6644 0.7500
0.3333 0.6667 0.0000
0.3333 0.6667 0.5000
0.3356 0.0000 0.2500
0.3356 0.3356 0.7500
0.6644 0.0000 0.7500
0.6644 0.6644 0.2500
0.6667 0.3333 0.0000
0.6667 0.3333 0.5000
0.0000 0.0000 0.0000
0.0000 0.0000 0.5000
0.0000 0.3376 0.7500
0.0000 0.6624 0.2500
0.3376 0.0000 0.7500
0.3376 0.3376 0.2500
0.6624 0.0000 0.2500
0.6624 0.6624 0.7500
```